No. 1
For MgSi, the PBE geometry in the Materials Project gives the simulated XRD peak list in this record (copper Kα).

Atomic structure:
```
data_MgSi
_cell_length_a 4.751
_cell_length_b 5.287
_cell_length_c 10.060
_cell_angle_alpha 94.35
_cell_angle_beta 103.06
_cell_angle_gamma 106.77
_symmetry_space_group_name_H-M 'P -1'
_symmetry_Int_Tables_number 2
loop_
_symmetry_equiv_pos_as_xyz
'x,y,z'
'-x,-y,-z'
loop_
_atom_site_label
_atom_site_fract_x
_atom_site_fract_y
_atom_site_fract_z
Mg1 0.009 0.146 0.248
Mg2 0.208 0.323 0.565
Mg3 0.326 0.772 0.141
Si1 0.234 0.458 0.837
Si2 0.273 0.226 0.034
Si3 0.427 0.873 0.591
```

Largest 12 diffraction maxima, in order of falling intensity, 5° ≤ 2θ ≤ 70°:
two_theta	intensity	h k l
37.5	100	1 0 -4
40.3	84	1 1 2
36.5	73	1 -2 1
30.8	66	1 0 2
39.3	66	2 -1 0
38.5	58	0 2 1
33.7	55	-1 1 3
40.0	49	1 -2 2
40.1	47	-1 2 2
46.1	46	1 -1 4
40.5	39	2 0 -2
30.0	38	1 1 -1

No. 2
For Ba4Cu3SeO6, the PBE geometry in the Materials Project gives the simulated XRD peak list in this record (copper Kα).

Atomic structure:
```
data_Ba4Cu3SeO6
_cell_length_a 7.938
_cell_length_b 7.938
_cell_length_c 7.938
_cell_angle_alpha 90.00
_cell_angle_beta 90.00
_cell_angle_gamma 90.00
_symmetry_space_group_name_H-M 'I m -3 m'
_symmetry_Int_Tables_number 229
_symmetry_space_group_name_Hall '-I 4 2 3'
loop_
_atom_site_label
_atom_site_fract_x
_atom_site_fract_y
_atom_site_fract_z
Ba1 0.250 0.250 0.250
Cu1 0.000 0.000 0.500
Se1 0.000 0.000 0.000
O1 0.000 0.250 0.500
```

Largest 10 diffraction maxima, in order of falling intensity, 5° ≤ 2θ ≤ 70°:
two_theta	intensity	h k l
31.9	100	2 2 0
56.8	38	4 2 2
45.7	24	4 0 0
66.6	15	4 4 0
22.4	8	2 0 0
39.3	7	2 2 2
51.5	4	4 2 0
27.5	1	2 1 1
15.8	1	1 1 0
42.6	1	3 2 1

No. 3
For LiCoAs, the PBE geometry in the Materials Project gives the simulated XRD peak list in this record (copper Kα).

Atomic structure:
```
data_LiCoAs
_cell_length_a 3.760
_cell_length_b 3.760
_cell_length_c 6.122
_cell_angle_alpha 90.00
_cell_angle_beta 90.00
_cell_angle_gamma 90.00
_symmetry_space_group_name_H-M 'P 4/n m m'
_symmetry_Int_Tables_number 129
loop_
_symmetry_equiv_pos_as_xyz
'x,y,z'
'-x,-y,-z'
'-y+1/2,x,z'
'y+1/2,-x,-z'
'-x+1/2,-y+1/2,z'
'x+1/2,y+1/2,-z'
'y,-x+1/2,z'
'-y,x+1/2,-z'
'x+1/2,-y,-z'
'-x+1/2,y,z'
'-y,-x,-z'
'y,x,z'
'-x,y+1/2,-z'
'x,-y+1/2,z'
'y+1/2,x+1/2,-z'
'-y+1/2,-x+1/2,z'
loop_
_atom_site_label
_atom_site_fract_x
_atom_site_fract_y
_atom_site_fract_z
Li1 0.250 0.250 0.171
Co1 0.250 0.750 0.500
As1 0.250 0.250 0.731
```

Largest 12 diffraction maxima, in order of falling intensity, 5° ≤ 2θ ≤ 70°:
two_theta	intensity	h k l
14.5	100	0 0 1
27.8	90	1 0 1
45.2	88	1 1 2
56.8	39	1 1 3
48.4	38	2 0 0
36.9	25	1 1 1
50.9	16	1 0 3
50.8	15	2 0 1
60.5	7	0 0 4
37.9	4	1 0 2
65.9	2	1 0 4
33.7	2	1 1 0

No. 4
For UO4, the PBE geometry in the Materials Project gives the simulated XRD peak list in this record (copper Kα).

Atomic structure:
```
data_UO4
_cell_length_a 5.990
_cell_length_b 6.016
_cell_length_c 9.820
_cell_angle_alpha 90.00
_cell_angle_beta 90.00
_cell_angle_gamma 90.00
_symmetry_space_group_name_H-M 'F m m m'
_symmetry_Int_Tables_number 69
_symmetry_space_group_name_Hall '-F 2 2'
loop_
_atom_site_label
_atom_site_fract_x
_atom_site_fract_y
_atom_site_fract_z
U1 0.000 0.000 0.000
O1 0.000 0.000 0.187
O2 0.250 0.250 0.000
```

Largest 12 diffraction maxima, in order of falling intensity, 5° ≤ 2θ ≤ 70°:
two_theta	intensity	h k l
22.8	100	1 1 1
18.1	42	0 0 2
34.6	24	1 1 3
46.6	15	2 2 2
42.6	15	2 2 0
48.8	14	1 3 1
49.0	13	3 1 1
51.3	13	1 1 5
29.7	12	0 2 0
29.8	12	2 0 0
47.9	10	2 0 4
57.4	10	2 2 4